Diffraction record for Sm5SnS4. The powder diffraction line list is simulated, not measured: it uses the GGA-PBE geometry in Alexandria and Cu Kα X-rays.
Peak positions follow from Bragg's law for the DFT cell and can differ from measured ones.

Crystal structure
Unit cell a=10.8739 b=10.8739 c=10.8739 alpha=158.19 beta=148.95 gamma=38.27
Fractional positions:
Sm: 0.0000 0.0000 0.0000
Sm: 0.1978 0.1978 0.0000
Sm: 0.3905 0.3905 0.0000
Sm: 0.6095 0.6095 0.0000
Sm: 0.8022 0.8022 0.0000
Sn: 0.5000 0.0000 0.5000
S: 0.1016 0.6016 0.5000
S: 0.2948 0.7948 0.5000
S: 0.7052 0.2052 0.5000
S: 0.8984 0.3984 0.5000

Most intense lines, 5 to 70 degrees two-theta, in order of falling intensity:
2θ 30.74, I = 100; 2θ 44.02, I = 72; 2θ 26.54, I = 46; 2θ 54.65, I = 25; 2θ 52.14, I = 21; 2θ 64.02, I = 11; 2θ 31.82, I = 3; 2θ 27.94, I = 2; 2θ 25.25, I = 2; 2θ 34.21, I = 2

=====

Diffraction record for Sc3Al4Ni8. The powder diffraction line list is simulated, not measured: it uses the GGA-PBE geometry in Alexandria and Cu Kα X-rays.
Peak positions follow from Bragg's law for the DFT cell and can differ from measured ones.

Crystal structure
Unit cell a=8.3695 b=8.3695 c=8.3695 alpha=60.00 beta=60.00 gamma=60.00
Fractional positions:
Sc: 0.2300 0.2300 0.7700
Sc: 0.2300 0.7700 0.2300
Sc: 0.2300 0.7700 0.7700
Sc: 0.7700 0.2300 0.2300
Sc: 0.7700 0.2300 0.7700
Sc: 0.7700 0.7700 0.2300
Al: 0.0000 0.0000 0.0000
Al: 0.0000 0.0000 0.5000
Al: 0.0000 0.5000 0.0000
Al: 0.0000 0.5000 0.5000
Al: 0.5000 0.0000 0.0000
Al: 0.5000 0.0000 0.5000
Al: 0.5000 0.5000 0.0000
Al: 0.5000 0.5000 0.5000
Ni: 0.1323 0.6226 0.6226
Ni: 0.1716 0.1716 0.1716
Ni: 0.1716 0.1716 0.4853
Ni: 0.1716 0.4853 0.1716
Ni: 0.3774 0.3774 0.3774
Ni: 0.3774 0.3774 0.8677
Ni: 0.3774 0.8677 0.3774
Ni: 0.4853 0.1716 0.1716
Ni: 0.5147 0.8284 0.8284
Ni: 0.6226 0.1323 0.6226
Ni: 0.6226 0.6226 0.1323
Ni: 0.6226 0.6226 0.6226
Ni: 0.8284 0.5147 0.8284
Ni: 0.8284 0.8284 0.5147
Ni: 0.8284 0.8284 0.8284
Ni: 0.8677 0.3774 0.3774

Most intense lines, 5 to 70 degrees two-theta, in order of falling intensity:
2θ 43.24, I = 100; 2θ 39.56, I = 45; 2θ 45.33, I = 31; 2θ 50.57, I = 27; 2θ 14.97, I = 21; 2θ 48.65, I = 15; 2θ 12.95, I = 13; 2θ 46.01, I = 13; 2θ 33.87, I = 11; 2θ 30.20, I = 8

=====

Diffraction record for Na8B11C5. The powder diffraction line list is simulated, not measured: it uses the GGA-PBE geometry in Alexandria and Cu Kα X-rays.
Peak positions follow from Bragg's law for the DFT cell and can differ from measured ones.

Crystal structure
Unit cell a=17.4127 b=17.4127 c=17.4127 alpha=170.74 beta=19.38 gamma=163.01
Fractional positions:
Na: 0.0625 0.0000 0.0625
Na: 0.1912 0.0024 0.1889
Na: 0.3160 0.0044 0.3116
Na: 0.4406 0.0039 0.4367
Na: 0.5672 0.0039 0.5633
Na: 0.6928 0.0044 0.6884
Na: 0.8135 0.0024 0.8111
Na: 0.9375 0.0000 0.9375
B: 0.0137 0.6395 0.3741
B: 0.0812 0.3312 0.7500
B: 0.1537 0.6537 0.5000
B: 0.2246 0.3505 0.8741
B: 0.2654 0.6395 0.6259
B: 0.3648 0.3648 0.0000
B: 0.4764 0.3505 0.1259
B: 0.5559 0.6817 0.8742
B: 0.5812 0.3312 0.2500
B: 0.8076 0.6817 0.1258
B: 0.8223 0.3223 0.5000
C: 0.4174 0.6673 0.7501
C: 0.6657 0.6657 0.0000
C: 0.7129 0.3387 0.3741
C: 0.9172 0.6673 0.2499
C: 0.9646 0.3387 0.6259

Most intense lines, 5 to 70 degrees two-theta, in order of falling intensity:
2θ 42.27, I = 100; 2θ 40.90, I = 50; 2θ 42.12, I = 38; 2θ 63.55, I = 18; 2θ 36.43, I = 17; 2θ 34.87, I = 11; 2θ 56.88, I = 10; 2θ 66.56, I = 8; 2θ 55.79, I = 6; 2θ 67.61, I = 2

=====

Diffraction record for Cs5K11Rb. The powder diffraction line list is simulated, not measured: it uses the GGA-PBE geometry in Alexandria and Cu Kα X-rays.
Peak positions follow from Bragg's law for the DFT cell and can differ from measured ones.

Crystal structure
Unit cell a=13.0334 b=13.0334 c=8.8355 alpha=97.67 beta=97.67 gamma=83.94
Fractional positions:
Cs: 0.0000 0.0000 0.0000
Cs: 0.1690 0.4850 0.6604
Cs: 0.4850 0.1690 0.6604
Cs: 0.5150 0.8310 0.3396
Cs: 0.8310 0.5150 0.3396
K: 0.1196 0.1196 0.5266
K: 0.1225 0.3601 0.1120
K: 0.1776 0.7058 0.2383
K: 0.2942 0.8224 0.7617
K: 0.3601 0.1225 0.1120
K: 0.5000 0.5000 0.5000
K: 0.6399 0.8775 0.8880
K: 0.7058 0.1776 0.2383
K: 0.8224 0.2942 0.7617
K: 0.8775 0.6399 0.8880
K: 0.8804 0.8804 0.4734
Rb: 0.5000 0.5000 0.0000

Most intense lines, 5 to 70 degrees two-theta, in order of falling intensity:
2θ 22.84, I = 100; 2θ 20.73, I = 70; 2θ 22.42, I = 68; 2θ 25.37, I = 45; 2θ 12.49, I = 41; 2θ 23.25, I = 38; 2θ 24.27, I = 37; 2θ 22.09, I = 34; 2θ 19.40, I = 29; 2θ 21.97, I = 25

=====

Diffraction record for Li2IrO3. The powder diffraction line list is simulated, not measured: it uses the GGA-PBE geometry in Alexandria and Cu Kα X-rays.
Peak positions follow from Bragg's law for the DFT cell and can differ from measured ones.

Crystal structure
Unit cell a=9.9397 b=9.4907 c=5.1511 alpha=79.50 beta=69.86 gamma=30.63
Fractional positions:
Li: 0.0453 0.0453 0.2047
Li: 0.1224 0.1224 0.6276
Li: 0.2047 0.2047 0.0453
Li: 0.3724 0.3724 0.8776
Li: 0.6276 0.6276 0.1224
Li: 0.7953 0.7953 0.9547
Li: 0.8776 0.8776 0.3724
Li: 0.9547 0.9547 0.7953
Ir: 0.2908 0.2908 0.4592
Ir: 0.4592 0.4592 0.2908
Ir: 0.5408 0.5408 0.7092
Ir: 0.7092 0.7092 0.5408
O: 0.0397 0.5391 0.2234
O: 0.1429 0.6071 0.6071
O: 0.2234 0.6978 0.0397
O: 0.3022 0.7766 0.4609
O: 0.3929 0.8571 0.8571
O: 0.4609 0.9603 0.3022
O: 0.5391 0.0397 0.6978
O: 0.6071 0.1429 0.1429
O: 0.6978 0.2234 0.5391
O: 0.7766 0.3022 0.9603
O: 0.8571 0.3929 0.3929
O: 0.9603 0.4609 0.7766

Most intense lines, 5 to 70 degrees two-theta, in order of falling intensity:
2θ 18.90, I = 100; 2θ 30.88, I = 30; 2θ 42.72, I = 29; 2θ 62.27, I = 22; 2θ 35.78, I = 19; 2θ 23.37, I = 19; 2θ 36.80, I = 16; 2θ 36.96, I = 16; 2θ 19.71, I = 16; 2θ 43.09, I = 14

=====

Diffraction record for Li2Mg6Al. The powder diffraction line list is simulated, not measured: it uses the GGA-PBE geometry in Alexandria and Cu Kα X-rays.
Peak positions follow from Bragg's law for the DFT cell and can differ from measured ones.

Crystal structure
Unit cell a=3.1584 b=3.1584 c=22.5140 alpha=90.00 beta=90.00 gamma=120.00
Fractional positions:
Li: 0.0000 0.0000 0.1750
Li: 0.0000 0.0000 0.8250
Mg: 0.0000 0.0000 0.3972
Mg: 0.0000 0.0000 0.6028
Mg: 0.6667 0.3333 0.0674
Mg: 0.6667 0.3333 0.2823
Mg: 0.6667 0.3333 0.7177
Mg: 0.6667 0.3333 0.9326
Al: 0.6667 0.3333 0.5000

Most intense lines, 5 to 70 degrees two-theta, in order of falling intensity:
2θ 38.51, I = 100; 2θ 32.74, I = 54; 2θ 36.52, I = 50; 2θ 35.90, I = 32; 2θ 58.44, I = 28; 2θ 49.37, I = 26; 2θ 67.57, I = 25; 2θ 7.85, I = 21; 2θ 32.99, I = 15; 2θ 23.71, I = 13

=====

Diffraction record for LiBe2O2. The powder diffraction line list is simulated, not measured: it uses the GGA-PBE geometry in Alexandria and Cu Kα X-rays.
Peak positions follow from Bragg's law for the DFT cell and can differ from measured ones.

Crystal structure
Unit cell a=4.7374 b=4.7374 c=4.5615 alpha=105.13 beta=105.13 gamma=116.50
Fractional positions:
Li: 0.1778 0.8222 0.7500
Li: 0.8222 0.1778 0.2500
Be: 0.1976 0.4063 0.9450
Be: 0.4063 0.1976 0.4450
Be: 0.5937 0.8024 0.5550
Be: 0.8024 0.5937 0.0550
O: 0.2508 0.7492 0.2500
O: 0.4289 0.5711 0.7500
O: 0.5711 0.4289 0.2500
O: 0.7492 0.2508 0.7500

Most intense lines, 5 to 70 degrees two-theta, in order of falling intensity:
2θ 23.32, I = 100; 2θ 51.15, I = 54; 2θ 44.08, I = 43; 2θ 24.32, I = 43; 2θ 40.11, I = 37; 2θ 31.68, I = 26; 2θ 41.72, I = 26; 2θ 45.82, I = 18; 2θ 50.86, I = 17; 2θ 66.73, I = 12

=====

Diffraction record for Tb2Pr3Dy. The powder diffraction line list is simulated, not measured: it uses the GGA-PBE geometry in Alexandria and Cu Kα X-rays.
Peak positions follow from Bragg's law for the DFT cell and can differ from measured ones.

Crystal structure
Unit cell a=6.2433 b=6.3114 c=6.3187 alpha=60.07 beta=70.21 gamma=80.29
Fractional positions:
Tb: 0.0000 0.1666 0.1667
Tb: 0.0000 0.8334 0.8333
Pr: 0.5000 0.1668 0.6666
Pr: 0.5000 0.5000 0.0000
Pr: 0.5000 0.8332 0.3334
Dy: 0.0000 0.5000 0.5000

Most intense lines, 5 to 70 degrees two-theta, in order of falling intensity:
2θ 30.05, I = 100; 2θ 34.95, I = 67; 2θ 30.43, I = 32; 2θ 50.01, I = 24; 2θ 50.51, I = 24; 2θ 59.66, I = 19; 2θ 59.46, I = 14; 2θ 60.12, I = 14; 2θ 59.72, I = 10; 2θ 62.44, I = 8

=====

Diffraction record for Dy2Mg5Zn4. The powder diffraction line list is simulated, not measured: it uses the GGA-PBE geometry in Alexandria and Cu Kα X-rays.
Peak positions follow from Bragg's law for the DFT cell and can differ from measured ones.

Crystal structure
Unit cell a=9.1970 b=7.7828 c=6.4821 alpha=79.72 beta=56.37 gamma=43.91
Fractional positions:
Dy: 0.1478 0.1478 0.8522
Dy: 0.8522 0.8522 0.1478
Mg: 0.0000 0.0000 0.5000
Mg: 0.2500 0.2500 0.2500
Mg: 0.5000 0.5000 0.0000
Mg: 0.5000 0.5000 0.5000
Mg: 0.7500 0.7500 0.7500
Zn: 0.2360 0.4570 0.5430
Zn: 0.4570 0.2360 0.7640
Zn: 0.5430 0.7640 0.2360
Zn: 0.7640 0.5430 0.4570

Most intense lines, 5 to 70 degrees two-theta, in order of falling intensity:
2θ 33.48, I = 100; 2θ 46.36, I = 65; 2θ 15.42, I = 64; 2θ 33.70, I = 58; 2θ 29.33, I = 49; 2θ 39.13, I = 48; 2θ 29.78, I = 45; 2θ 28.33, I = 44; 2θ 12.33, I = 34; 2θ 24.80, I = 32